This entry pairs a crystal structure of BeAg2F5 with its theoretical PXRD pattern. Radiation: CuKα. Structure: a crystal structure in Alexandria, relaxed with PBE.
Neutral-atom scattering factors, no anomalous dispersion.

Atomic structure:
Unit cell a=9.359 b=7.798 c=8.318 alpha=90.00 beta=124.11 gamma=90.00
Space group C2/c (No. 15)
Unique sites:
Be1 0.000 0.124 0.250 (multiplicity 4)
Ag1 0.000 0.500 0.000 (multiplicity 4)
Ag2 0.250 0.250 0.000 (multiplicity 4)
F1 0.000 0.375 0.750 (multiplicity 4)
F2 0.036 0.239 0.120 (multiplicity 8)
F3 0.166 0.010 0.378 (multiplicity 8)

The 12 most intense peaks (2θ = 10–80°), in order of rising 2θ:
2θ/deg	d [Å]	I (rel.)
16.1	5.494	100
24.4	3.644	74
25.9	3.443	35
31.6	2.835	22
32.6	2.747	54
36.7	2.450	34
38.5	2.340	21
41.1	2.199	24
46.6	1.950	12
47.0	1.935	21
50.1	1.822	39
54.1	1.697	13

***

This entry pairs a crystal structure of MgSi2 with its theoretical PXRD pattern. Radiation: CuKα. Structure: a crystal structure in Alexandria, relaxed with PBE.
Neutral-atom scattering factors, no anomalous dispersion.

Atomic structure:
Unit cell a=6.699 b=7.297 c=9.646 alpha=83.75 beta=87.24 gamma=81.53
Space group P-1 (No. 2)
Unique sites:
Mg1 0.021 0.154 0.363 (multiplicity 2)
Mg2 0.164 0.805 0.181 (multiplicity 2)
Mg3 0.282 0.473 0.707 (multiplicity 2)
Mg4 0.410 0.813 0.482 (multiplicity 2)
Si1 0.101 0.606 0.434 (multiplicity 2)
Si2 0.131 0.729 0.899 (multiplicity 2)
Si3 0.198 0.151 0.614 (multiplicity 2)
Si4 0.213 0.205 0.026 (multiplicity 2)
Si5 0.271 0.011 0.844 (multiplicity 2)
Si6 0.333 0.491 0.043 (multiplicity 2)
Si7 0.349 0.413 0.298 (multiplicity 2)
Si8 0.387 0.073 0.235 (multiplicity 2)

The 12 most intense peaks (2θ = 10–80°), in order of rising 2θ:
2θ/deg	d [Å]	I (rel.)
26.5	3.364	35
26.9	3.311	25
28.8	3.099	30
30.7	2.909	25
32.6	2.749	26
34.3	2.617	32
35.0	2.564	100
36.4	2.469	30
38.4	2.346	26
40.6	2.220	46
44.7	2.029	23
49.9	1.826	29

***

This entry pairs a crystal structure of Tb7Ho3Er2 with its theoretical PXRD pattern. Radiation: CuKα. Structure: a crystal structure in Alexandria, relaxed with PBE.
Neutral-atom scattering factors, no anomalous dispersion.

Atomic structure:
Unit cell a=5.755 b=3.551 c=18.574 alpha=90.00 beta=93.55 gamma=90.00
Space group P2/m (No. 10)
Unique sites:
Tb1 0.000 0.000 0.000 (multiplicity 1)
Tb2 0.183 0.500 0.180 (multiplicity 2)
Tb3 0.258 0.500 0.536 (multiplicity 2)
Tb4 0.320 0.000 0.856 (multiplicity 2)
Ho1 0.218 0.000 0.367 (multiplicity 2)
Ho2 0.500 0.500 0.000 (multiplicity 1)
Er1 0.294 0.500 0.705 (multiplicity 2)

The 12 most intense peaks (2θ = 10–80°), in order of rising 2θ:
2θ/deg	d [Å]	I (rel.)
28.9	3.090	28
30.8	2.900	27
31.2	2.867	65
31.5	2.844	100
31.7	2.819	34
32.0	2.794	46
32.6	2.749	27
33.8	2.652	37
34.9	2.568	35
37.8	2.379	20
51.5	1.775	21
61.4	1.509	19

***

This entry pairs a crystal structure of Pu5InGa4 with its theoretical PXRD pattern. Radiation: CuKα. Structure: a crystal structure in Alexandria, relaxed with PBE.
Neutral-atom scattering factors, no anomalous dispersion.

Atomic structure:
Unit cell a=3.937 b=3.937 c=14.746 alpha=90.00 beta=90.00 gamma=90.00
Space group P4/mmm (No. 123)
Unique sites:
Pu1 0.000 0.000 0.000 (multiplicity 1)
Pu2 0.000 0.000 0.194 (multiplicity 2)
Pu3 0.000 0.000 0.387 (multiplicity 2)
In1 0.500 0.500 0.500 (multiplicity 1)
Ga1 0.500 0.500 0.097 (multiplicity 2)
Ga2 0.500 0.500 0.289 (multiplicity 2)

The 12 most intense peaks (2θ = 10–80°), in order of rising 2θ:
2θ/deg	d [Å]	I (rel.)
22.6	3.937	45
30.3	2.949	10
32.2	2.784	84
38.1	2.360	100
44.8	2.024	15
46.1	1.968	32
51.9	1.761	11
56.2	1.637	8
61.3	1.512	51
67.3	1.392	10
72.5	1.303	13
76.5	1.245	14

***

This entry pairs a crystal structure of SiTcNiRh with its theoretical PXRD pattern. Radiation: CuKα. Structure: a crystal structure in Alexandria, relaxed with PBE.
Neutral-atom scattering factors, no anomalous dispersion.

Atomic structure:
Unit cell a=2.966 b=4.113 c=4.194 alpha=90.00 beta=90.00 gamma=90.00
Space group Pmmm (No. 47)
Unique sites:
Si1 0.000 0.000 0.000 (multiplicity 1)
Tc1 0.500 0.500 0.000 (multiplicity 1)
Ni1 0.000 0.500 0.500 (multiplicity 1)
Rh1 0.500 0.000 0.500 (multiplicity 1)

The 12 most intense peaks (2θ = 10–80°), in order of rising 2θ:
2θ/deg	d [Å]	I (rel.)
30.1	2.966	10
30.4	2.936	19
43.1	2.097	25
43.4	2.087	100
44.0	2.056	24
53.5	1.712	4
62.7	1.483	8
63.3	1.468	16
71.2	1.324	5
79.1	1.211	8
79.3	1.209	16
79.7	1.203	8

***

This entry pairs a crystal structure of LaPmY2Er2 with its theoretical PXRD pattern. Radiation: CuKα. Structure: a crystal structure in Alexandria, relaxed with PBE.
Neutral-atom scattering factors, no anomalous dispersion.

Atomic structure:
Unit cell a=6.967 b=9.905 c=5.704 alpha=90.00 beta=90.00 gamma=90.00
Space group Pnnm (No. 58)
Unique sites:
La1 0.000 0.000 0.000 (multiplicity 2)
Pm1 0.000 0.500 0.500 (multiplicity 2)
Y1 0.249 0.333 0.000 (multiplicity 4)
Er1 0.249 0.666 0.000 (multiplicity 4)

The 12 most intense peaks (2θ = 10–80°), in order of rising 2θ:
2θ/deg	d [Å]	I (rel.)
22.0	4.033	9
31.3	2.854	100
31.4	2.848	47
40.9	2.208	6
45.0	2.017	26
52.5	1.742	6
55.7	1.649	14
55.8	1.647	28
62.5	1.487	21
65.3	1.429	6
74.3	1.277	8
74.4	1.275	4

***

This entry pairs a crystal structure of Ni5MoH7 with its theoretical PXRD pattern. Radiation: CuKα. Structure: a crystal structure in Alexandria, relaxed with PBE.
Neutral-atom scattering factors, no anomalous dispersion.

Atomic structure:
Unit cell a=2.705 b=14.551 c=4.603 alpha=90.00 beta=106.98 gamma=90.00
Space group P2_1/m (No. 11)
Unique sites:
Ni1 0.000 0.000 0.000 (multiplicity 2)
Ni2 0.281 0.080 0.554 (multiplicity 4)
Ni3 0.451 0.650 0.906 (multiplicity 4)
Mo1 0.187 0.750 0.376 (multiplicity 2)
H1 0.087 0.612 0.181 (multiplicity 4)
H2 0.180 0.180 0.354 (multiplicity 4)
H3 0.371 0.533 0.733 (multiplicity 4)
H4 0.467 0.250 0.934 (multiplicity 2)

The 12 most intense peaks (2θ = 10–80°), in order of rising 2θ:
2θ/deg	d [Å]	I (rel.)
37.0	2.428	37
39.5	2.282	89
41.0	2.201	22
41.5	2.176	49
42.6	2.124	100
42.9	2.108	81
46.1	1.971	13
47.4	1.919	59
49.5	1.840	37
68.4	1.371	24
69.5	1.353	17
72.1	1.310	12

***

This entry pairs a crystal structure of AcLa5Sm8 with its theoretical PXRD pattern. Radiation: CuKα. Structure: a crystal structure in Alexandria, relaxed with PBE.
Neutral-atom scattering factors, no anomalous dispersion.

Atomic structure:
Unit cell a=19.110 b=3.652 c=14.686 alpha=90.00 beta=96.89 gamma=90.00
Space group Cm (No. 8)
Unique sites:
Ac1 0.000 0.000 0.000 (multiplicity 2)
La1 0.065 0.000 0.525 (multiplicity 2)
La2 0.200 0.000 0.124 (multiplicity 2)
La3 0.232 0.500 0.544 (multiplicity 2)
La4 0.312 0.500 0.955 (multiplicity 2)
La5 0.396 0.000 0.543 (multiplicity 2)
Sm1 0.023 0.500 0.745 (multiplicity 2)
Sm2 0.085 0.500 0.289 (multiplicity 2)
Sm3 0.141 0.500 0.929 (multiplicity 2)
Sm4 0.194 0.000 0.746 (multiplicity 2)
Sm5 0.261 0.000 0.345 (multiplicity 2)
Sm6 0.359 0.500 0.740 (multiplicity 2)
Sm7 0.390 0.000 0.152 (multiplicity 2)
Sm8 0.429 0.500 0.347 (multiplicity 2)

The 12 most intense peaks (2θ = 10–80°), in order of rising 2θ:
2θ/deg	d [Å]	I (rel.)
27.5	3.247	24
28.2	3.167	24
29.6	3.016	48
30.1	2.967	100
30.7	2.917	88
31.9	2.809	27
34.1	2.630	26
34.7	2.582	68
35.2	2.553	21
35.3	2.544	23
49.7	1.835	20
50.0	1.826	33